1.
The following is a theoretical powder diffractogram of Y2MgCo2O6. It was derived from a PBE+U-relaxed structure, using Cu Kα (weighted mean of Kα1 and Kα2).
Lines closer than 0.1° are merged.

```
11
Lattice="3.0501 -1.7589 0.0000 3.0501 1.7589 0.0000 -0.0104 0.0000 13.4911" Properties=species:S:1:pos:R:3 pbc="T T T"
Y 0.0000 0.0000 0.0000
Y 0.0002 0.0000 5.6817
Mg 2.0322 0.0000 8.3063
Co 2.0329 0.0000 2.9763
Co 4.0583 0.0000 10.4139
O 0.0005 0.0000 3.3481
O 2.0326 0.0000 0.9385
O 2.0323 0.0000 5.2484
O 4.0630 0.0000 7.4759
O 4.0566 0.0000 12.2952
O 6.0888 0.0000 9.6857
```

Main lines, by angle (2θ = 10–80°):
2θ/deg	d_spacing	I_rel
26.43	3.373	22
29.30	3.048	24
30.05	2.973	66
32.23	2.778	100
33.20	2.698	32
35.58	2.523	63
39.86	2.262	31
44.86	2.020	35
51.96	1.760	69
56.49	1.629	43

2.
The following is a theoretical powder diffractogram of Li9Mn7O16. It was derived from a PBE+U-relaxed structure, using Cu Kα (weighted mean of Kα1 and Kα2).
Lines closer than 0.1° are merged.

```
32
Lattice="5.3635 0.0000 0.0000 2.1306 5.6398 0.0000 2.1208 -0.2140 9.9062" Properties=species:S:1:pos:R:3 pbc="T T T"
Li 0.0000 0.0000 0.0000
Li 1.0604 -0.1070 4.9531
Li 1.0653 2.8199 0.0000
Li 1.1133 1.3731 2.4656
Li 5.8426 3.3844 8.7110
Li 3.7266 0.6128 3.6997
Li 5.8884 4.8129 6.2065
Li 3.7724 2.0414 1.1952
Li 8.5017 4.0526 7.4406
Mn 7.4848 1.2298 7.4606
Mn 2.1257 2.7129 4.9531
Mn 2.1302 4.1959 2.4456
Mn 4.8042 0.5185 8.6807
Mn 4.8067 1.9856 6.2017
Mn 4.8083 3.4402 3.7045
Mn 4.8108 4.9073 1.2255
O 2.8349 1.0134 5.6221
O 2.8354 2.4796 3.1429
O 3.1056 4.0035 0.7732
O 5.2344 5.3197 8.1012
O 4.0914 2.2361 8.0459
O 4.1011 5.1520 3.0324
O 4.1201 3.6936 5.5454
O 2.0069 0.9737 0.5748
O 7.6081 4.4520 9.3314
O 5.4949 1.7321 4.3608
O 5.5139 0.2738 6.8738
O 5.5236 3.1896 1.8603
O 4.3806 0.1060 1.8050
O 6.5094 1.4223 9.1330
O 6.7796 2.9462 6.7632
O 6.7801 4.4124 4.2840
```

Main lines, by angle (2θ = 10–80°):
2θ/deg	d_spacing	I_rel
18.27	4.855	100
33.64	2.665	19
36.19	2.482	23
40.42	2.232	36
44.22	2.048	55
46.73	1.944	10
61.14	1.516	17
61.75	1.502	16
63.82	1.459	7
64.82	1.438	7

3.
The following is a theoretical powder diffractogram of W3O8. It was derived from a PBE+U-relaxed structure, using Cu Kα (weighted mean of Kα1 and Kα2).
Lines closer than 0.1° are merged.

```
22
Lattice="6.2255 0.0000 0.0000 -3.1127 5.3914 0.0000 0.0000 0.0000 10.0036" Properties=species:S:1:pos:R:3 pbc="T T T"
W 0.0000 1.8116 0.0000
W -1.5439 4.4856 0.0000
W 1.5689 0.9058 5.0018
W 1.5439 4.4856 0.0000
W 4.6566 0.9058 5.0018
W 3.1127 3.5798 5.0018
O 0.0000 0.0000 1.0927
O 0.0000 0.0000 6.0945
O -1.3686 2.8041 1.0142
O 0.0000 1.5812 4.0418
O -1.7434 4.6008 4.0418
O 1.3693 0.7906 9.0436
O 0.0000 3.5943 8.9047
O 1.3686 2.8041 1.0142
O 0.0000 5.1746 1.0142
O 3.1127 0.2168 6.0160
O 1.7441 2.5873 6.0160
O 3.1127 1.7971 3.9029
O 1.7434 4.6008 4.0418
O 4.8561 0.7906 9.0436
O 3.1127 3.8102 9.0436
O 4.4813 2.5873 6.0160
```

Main lines, by angle (2θ = 10–80°):
2θ/deg	d_spacing	I_rel
17.73	5.002	100
18.70	4.746	45
33.92	2.643	12
34.46	2.603	62
37.92	2.373	21
43.15	2.096	44
49.73	1.833	11
57.35	1.607	21
59.38	1.556	15
62.50	1.486	20

4.
The following is a theoretical powder diffractogram of LiMn5P3O13. It was derived from a PBE+U-relaxed structure, using Cu Kα (weighted mean of Kα1 and Kα2).
Lines closer than 0.1° are merged.

```
44
Lattice="6.4888 0.0000 0.0000 -0.0197 8.8096 0.0000 -0.4571 -0.6708 9.7320" Properties=species:S:1:pos:R:3 pbc="T T T"
Li 1.1951 3.2062 4.3547
Li 4.8168 4.9326 5.3774
Mn 6.1293 0.6956 7.5579
Mn -0.1174 7.4432 2.1742
Mn 1.1469 6.8418 8.8919
Mn 1.6211 4.8764 1.0348
Mn 1.4557 6.5685 5.5029
Mn 2.8867 0.6614 7.5320
Mn 3.1252 7.4774 2.2001
Mn 4.5563 1.5703 4.2291
Mn 4.3909 3.2624 8.6973
Mn 4.8650 1.2970 0.8402
P 1.3476 0.6165 4.6786
P 1.2311 3.7334 7.2980
P 1.6197 1.4275 0.9262
P 4.3922 6.7113 8.8058
P 4.7809 4.4054 2.4340
P 4.6643 7.5223 5.0535
O -0.0726 2.8720 7.3295
O 0.1180 1.4916 4.3997
O 0.3275 0.7344 1.4545
O 1.2858 4.4761 5.9084
O 1.2997 0.0524 6.1711
O 1.5264 6.8864 1.0827
O 1.2009 4.7476 8.4727
O 1.5616 2.9115 1.2530
O 1.4296 8.1317 3.8077
O 1.2457 0.4758 9.1045
O 2.5294 1.5878 4.5241
O 2.5099 2.8496 7.4568
O 2.9044 0.7995 1.5706
O 3.1076 7.3393 8.1615
O 3.5021 5.2892 2.2752
O 3.4826 6.5510 5.2079
O 4.7662 7.6629 0.6275
O 4.5824 0.0071 5.9243
O 4.4504 5.2273 8.4790
O 4.8111 3.3912 1.2593
O 4.4856 1.2524 8.6494
O 4.7123 8.0864 3.5610
O 4.7262 3.6627 3.8237
O 5.6845 7.4044 8.2775
O 5.8940 6.6472 5.3323
O 6.0845 5.2668 2.4025
```

Main lines, by angle (2θ = 10–80°):
2θ/deg	d_spacing	I_rel
10.06	8.789	100
27.51	3.242	82
28.67	3.114	37
30.01	2.978	60
30.53	2.928	91
31.46	2.843	29
32.47	2.757	55
33.18	2.700	26
33.95	2.641	29
56.80	1.621	41

5.
The following is a theoretical powder diffractogram of Na3Co2SbO6. It was derived from a PBE+U-relaxed structure, using Cu Kα (weighted mean of Kα1 and Kα2).
Lines closer than 0.1° are merged.

```
12
Lattice="5.3800 0.0000 0.0000 2.5704 4.7295 0.0000 0.8921 1.5101 5.4219" Properties=species:S:1:pos:R:3 pbc="T T T"
Na 0.0000 0.0000 0.0000
Na 2.7030 1.5535 0.0044
Na 6.1395 4.6860 5.4176
Co 4.3946 4.7079 2.7122
Co 4.4479 1.5316 2.7097
Sb 1.7313 3.1198 2.7110
O 2.5779 4.5750 3.8321
O 3.4181 3.1695 1.5834
O 2.6307 1.6108 3.7962
O 6.2118 4.6287 1.6257
O 5.4244 3.0700 3.8385
O 6.2646 1.6646 1.5898
```

Main lines, by angle (2θ = 10–80°):
2θ/deg	d_spacing	I_rel
16.35	5.422	100
33.01	2.713	35
33.81	2.651	20
34.57	2.594	19
35.07	2.559	35
39.29	2.293	44
40.33	2.236	80
52.19	1.753	12
56.56	1.627	25
58.57	1.576	24

6.
The following is a theoretical powder diffractogram of ZrFeF6. It was derived from a PBE+U-relaxed structure, using Cu Kα (weighted mean of Kα1 and Kα2).
Lines closer than 0.1° are merged.

```
8
Lattice="2.8292 1.6334 4.7616 -2.8292 1.6334 4.7616 0.0000 -3.2669 4.7616" Properties=species:S:1:pos:R:3 pbc="T T T"
Zr 0.0000 0.0000 0.0000
Fe 0.0000 0.0000 7.1424
F -1.6384 0.4669 5.9457
F -1.2235 -1.1854 8.3390
F 0.4148 -1.6523 5.9457
F -0.4148 1.6523 8.3390
F 1.2235 1.1854 5.9457
F 1.6384 -0.4669 8.3390
```

Main lines, by angle (2θ = 10–80°):
2θ/deg	d_spacing	I_rel
22.00	4.041	100
30.99	2.886	17
31.62	2.829	12
36.96	2.432	8
44.86	2.020	23
50.07	1.822	23
50.94	1.793	16
55.92	1.644	8
64.58	1.443	7
70.54	1.335	8

7.
The following is a theoretical powder diffractogram of LiEu2CoO4. It was derived from a PBE+U-relaxed structure, using Cu Kα (weighted mean of Kα1 and Kα2).
Lines closer than 0.1° are merged.

```
8
Lattice="7.0013 -1.9279 0.0000 7.0013 1.9279 0.0000 -1.0507 0.0000 3.7083" Properties=species:S:1:pos:R:3 pbc="T T T"
Li 0.0000 0.0000 0.0000
Eu 1.0974 0.0000 2.3142
Eu 4.3303 0.0000 3.2232
Co 10.2402 0.0000 0.9175
O 3.1834 0.0000 0.9019
O 7.8435 0.0000 0.2289
O 9.7689 0.0000 2.7872
O 12.6346 0.0000 1.6091
```

Main lines, by angle (2θ = 10–80°):
2θ/deg	d_spacing	I_rel
24.01	3.706	58
26.46	3.368	25
30.56	2.925	100
32.86	2.726	91
40.84	2.209	55
40.92	2.205	18
42.67	2.119	53
47.15	1.928	47
57.22	1.610	26
64.07	1.453	19

8.
The following is a theoretical powder diffractogram of Sr5Ca3Mn4Fe4O24. It was derived from a PBE+U-relaxed structure, using Cu Kα (weighted mean of Kα1 and Kα2).
Lines closer than 0.1° are merged.

```
40
Lattice="5.4946 -5.4945 0.0000 5.4946 5.4945 0.0000 -0.0003 0.0000 7.7543" Properties=species:S:1:pos:R:3 pbc="T T T"
Sr 0.0000 0.0000 0.0000
Sr 0.0004 0.0000 3.8671
Sr 2.7587 2.7580 3.8661
Sr 2.7587 -2.7580 3.8661
Sr 5.5161 0.0000 3.8667
Ca 8.2525 -2.7325 0.0025
Ca 8.2525 2.7325 0.0025
Ca 5.5208 0.0000 0.0021
Mn 5.5069 2.7397 1.9199
Mn 5.5069 -2.7397 1.9199
Mn 8.2461 0.0000 5.8288
Mn 8.2474 0.0000 1.9213
Fe 2.7650 0.0000 1.9198
Fe 2.7668 0.0000 5.8275
Fe 5.5059 2.7410 5.8252
Fe 5.5059 -2.7410 5.8252
O 4.1075 4.1075 1.8995
O 1.4175 1.3710 5.8435
O 2.7663 0.0000 3.8983
O 4.1195 1.3528 5.8578
O 4.1563 1.3906 1.8832
O 5.5061 2.7409 3.8416
O 1.4175 -1.3710 5.8435
O 2.7863 0.0000 7.7267
O 5.5052 2.7167 0.0231
O 6.8744 4.0838 1.9008
O 4.1195 -1.3528 5.8578
O 6.8820 1.3660 1.8775
O 4.1563 -1.3906 1.8832
O 6.8959 1.3494 5.8594
O 4.1075 -4.1075 1.8995
O 5.5052 -2.7167 0.0231
O 8.2164 0.0000 0.0017
O 9.5892 1.3686 5.8431
O 5.5061 -2.7409 3.8416
O 6.8959 -1.3494 5.8594
O 6.8820 -1.3660 1.8775
O 8.2482 0.0000 3.8633
O 6.8744 -4.0838 1.9008
O 9.5892 -1.3686 5.8431
```

Main lines, by angle (2θ = 10–80°):
2θ/deg	d_spacing	I_rel
11.41	7.757	4
25.65	3.473	4
32.62	2.745	100
40.23	2.242	11
46.76	1.943	28
46.87	1.939	14
58.21	1.585	37
68.34	1.373	24
77.74	1.228	10
77.90	1.226	5